The following is a calculated XRD peak list of MgTi4MnZnNiO12. It was derived from a crystal structure in Alexandria, relaxed with PBE+U, using CuKα.
Kinematic intensities with the Lorentz-polarization factor, no thermal factor.

Cell lengths 5.123, 5.558, 8.881 Å; angles 105.34, 90.04, 117.40 degrees
Space group P1 (No. 1)
Symmetry-distinct sites (fractional):
Mg1 0.000 0.000 0.000
Ti1 0.179 0.374 0.391
Ti2 0.254 0.506 0.752
Ti3 0.690 0.371 0.893
Ti4 0.747 0.504 0.243
Mn1 0.929 0.863 0.639
Zn1 0.507 0.020 0.497
Ni1 0.442 0.885 0.145
O1 0.009 0.676 0.801
O2 0.028 0.670 0.425
O3 0.412 0.206 0.708
O4 0.425 0.199 0.343
O5 0.461 0.197 0.038
O6 0.461 0.672 0.601
O7 0.503 0.673 0.291
O8 0.533 0.679 0.935
O9 0.900 0.194 0.206
O10 0.933 0.201 0.848
O11 0.959 0.203 0.538
O12 0.977 0.676 0.101

Largest 10 diffraction maxima, low angle first, 10 to 90 degrees two-theta:
23.67°, I 29
32.39°, I 100
35.01°, I 67
40.07°, I 16
48.44°, I 39
52.79°, I 41
61.13°, I 22
61.21°, I 11
62.80°, I 33
69.86°, I 12